Diffraction record for KH8WN2O3F3. The powder diffractogram is theoretical, not measured: it uses DFT lattice parameters and positions (PBE+U) and copper Kα.

Structural model:
abc: 6.531 6.440 6.435
angles: 60.97 59.55 59.48
Sites, in units of the cell vectors:
K: 0.000 0.000 0.000
H: 0.050 0.313 0.331
H: 0.310 0.311 0.058
H: 0.311 0.310 0.321
H: 0.313 0.050 0.306
H: 0.669 0.694 0.950
H: 0.679 0.942 0.689
H: 0.694 0.669 0.687
H: 0.942 0.679 0.690
W: 0.488 0.488 0.512
N: 0.246 0.246 0.254
N: 0.746 0.746 0.754
O: 0.291 0.291 0.709
O: 0.325 0.723 0.277
O: 0.723 0.325 0.675
F: 0.277 0.722 0.723
F: 0.720 0.720 0.280
F: 0.722 0.277 0.278

Top 8 peaks for 10 to 90 degrees two-theta, sorted by position:
two_theta, d (Å), Rel. int.
16.79, 5.280, 100
19.22, 4.618, 69
19.80, 4.485, 30
27.31, 3.266, 33
27.73, 3.217, 55
32.23, 2.777, 25
39.01, 2.309, 24
48.52, 1.876, 19



Diffraction record for KH8WN2F6. The powder diffractogram is theoretical, not measured: it uses DFT lattice parameters and positions (PBE+U) and copper Kα.

Structural model:
abc: 6.487 6.447 11.463
angles: 90.00 123.89 90.00
Sites, in units of the cell vectors:
K: 0.000 0.000 0.000
K: 0.000 0.500 0.500
H: 0.078 0.029 0.731
H: 0.078 0.471 0.231
H: 0.236 0.039 0.653
H: 0.236 0.461 0.153
H: 0.266 0.667 0.257
H: 0.266 0.833 0.757
H: 0.391 0.071 0.831
H: 0.391 0.429 0.331
H: 0.609 0.571 0.669
H: 0.609 0.929 0.169
H: 0.734 0.167 0.243
H: 0.734 0.333 0.743
H: 0.764 0.539 0.847
H: 0.764 0.961 0.347
H: 0.922 0.529 0.769
H: 0.922 0.971 0.269
W: 0.500 0.000 0.500
W: 0.500 0.500 0.000
N: 0.244 0.508 0.243
N: 0.244 0.992 0.743
N: 0.756 0.008 0.257
N: 0.756 0.492 0.757
F: 0.227 0.558 0.783
F: 0.227 0.942 0.283
F: 0.232 0.152 0.521
F: 0.232 0.348 0.021
F: 0.388 0.716 0.543
F: 0.388 0.784 0.043
F: 0.612 0.216 0.957
F: 0.612 0.284 0.457
F: 0.768 0.652 0.979
F: 0.768 0.848 0.479
F: 0.773 0.058 0.717
F: 0.773 0.442 0.217

Top 8 peaks for 10 to 90 degrees two-theta, sorted by position:
two_theta, d (Å), Rel. int.
16.46, 5.385, 32
16.61, 5.337, 100
18.65, 4.758, 48
19.41, 4.573, 78
26.95, 3.309, 37
27.14, 3.285, 38
32.40, 2.763, 29
39.41, 2.286, 26



Diffraction record for KH8WN2F6. The powder diffractogram is theoretical, not measured: it uses DFT lattice parameters and positions (PBE+U) and copper Kα.

Structural model:
abc: 6.599 6.599 6.599
angles: 60.00 60.00 60.00
Sites, in units of the cell vectors:
K: 0.000 0.000 0.000
H: 0.058 0.314 0.314
H: 0.314 0.058 0.314
H: 0.314 0.314 0.058
H: 0.314 0.314 0.314
H: 0.686 0.686 0.686
H: 0.686 0.686 0.942
H: 0.686 0.942 0.686
H: 0.942 0.686 0.686
W: 0.500 0.500 0.500
N: 0.250 0.250 0.250
N: 0.750 0.750 0.750
F: 0.275 0.275 0.725
F: 0.275 0.725 0.275
F: 0.275 0.725 0.725
F: 0.725 0.275 0.275
F: 0.725 0.275 0.725
F: 0.725 0.725 0.275

Top 8 peaks for 10 to 90 degrees two-theta, sorted by position:
two_theta, d (Å), Rel. int.
16.45, 5.388, 91
19.02, 4.666, 100
27.02, 3.299, 83
31.80, 2.814, 39
38.59, 2.333, 42
43.36, 2.087, 50
47.74, 1.905, 30
55.72, 1.650, 25



Diffraction record for K2VH2OF5. The powder diffractogram is theoretical, not measured: it uses DFT lattice parameters and positions (PBE+U) and copper Kα.

Structural model:
abc: 6.390 6.390 8.014
angles: 94.85 94.85 78.87
Sites, in units of the cell vectors:
K: 0.197 0.201 0.035
K: 0.201 0.197 0.535
K: 0.799 0.803 0.465
K: 0.803 0.799 0.965
V: 0.297 0.703 0.750
V: 0.703 0.297 0.250
H: 0.349 0.599 0.345
H: 0.401 0.651 0.155
H: 0.599 0.349 0.845
H: 0.651 0.401 0.655
O: 0.443 0.557 0.250
O: 0.557 0.443 0.750
F: 0.050 0.950 0.750
F: 0.115 0.513 0.810
F: 0.222 0.632 0.511
F: 0.368 0.778 0.989
F: 0.487 0.885 0.690
F: 0.513 0.115 0.310
F: 0.632 0.222 0.011
F: 0.778 0.368 0.489
F: 0.885 0.487 0.190
F: 0.950 0.050 0.250

Top 8 peaks for 10 to 90 degrees two-theta, sorted by position:
two_theta, d (Å), Rel. int.
17.41, 5.095, 100
18.64, 4.761, 68
28.54, 3.127, 38
30.42, 2.938, 73
34.38, 2.608, 47
35.28, 2.544, 40
37.75, 2.383, 50
47.83, 1.902, 33



Diffraction record for Li2VH2OF5. The powder diffractogram is theoretical, not measured: it uses DFT lattice parameters and positions (PBE+U) and copper Kα.

Structural model:
abc: 5.739 5.739 7.874
angles: 93.88 93.88 67.03
Sites, in units of the cell vectors:
Li: 0.220 0.240 0.002
Li: 0.240 0.220 0.502
Li: 0.760 0.780 0.498
Li: 0.780 0.760 0.998
V: 0.271 0.729 0.750
V: 0.729 0.271 0.250
H: 0.289 0.641 0.341
H: 0.359 0.711 0.159
H: 0.641 0.289 0.841
H: 0.711 0.359 0.659
O: 0.414 0.586 0.250
O: 0.586 0.414 0.750
F: 0.025 0.975 0.250
F: 0.096 0.553 0.871
F: 0.157 0.611 0.526
F: 0.389 0.843 0.974
F: 0.447 0.904 0.629
F: 0.553 0.096 0.371
F: 0.611 0.157 0.026
F: 0.843 0.389 0.474
F: 0.904 0.447 0.129
F: 0.975 0.025 0.750

Top 8 peaks for 10 to 90 degrees two-theta, sorted by position:
two_theta, d (Å), Rel. int.
18.61, 4.769, 77
19.84, 4.474, 100
20.70, 4.291, 81
28.20, 3.165, 93
30.66, 2.916, 71
42.75, 2.115, 46
45.26, 2.003, 27
49.01, 1.858, 24



Diffraction record for Li2VH2OF5. The powder diffractogram is theoretical, not measured: it uses DFT lattice parameters and positions (PBE+U) and copper Kα.

Structural model:
abc: 5.786 5.813 7.850
angles: 85.88 85.30 67.84
Sites, in units of the cell vectors:
Li: 0.000 0.000 0.000
Li: 0.002 0.074 0.467
Li: 0.462 0.640 0.911
Li: 0.567 0.516 0.417
V: 0.502 0.028 0.217
V: 0.967 0.565 0.713
H: 0.516 0.919 0.628
H: 0.592 0.996 0.803
H: 0.857 0.578 0.130
H: 0.933 0.657 0.307
O: 0.614 0.855 0.731
O: 0.798 0.689 0.228
F: 0.027 0.727 0.496
F: 0.128 0.754 0.835
F: 0.211 0.314 0.233
F: 0.267 0.292 0.706
F: 0.317 0.854 0.101
F: 0.399 0.896 0.440
F: 0.646 0.095 0.994
F: 0.705 0.191 0.321
F: 0.807 0.380 0.585
F: 0.830 0.469 0.936

Top 8 peaks for 10 to 90 degrees two-theta, sorted by position:
two_theta, d (Å), Rel. int.
18.52, 4.792, 82
19.58, 4.534, 100
20.45, 4.342, 59
20.67, 4.297, 42
27.56, 3.236, 56
28.10, 3.176, 37
30.84, 2.900, 60
42.38, 2.133, 48



Diffraction record for Li3V2H4O2F10. The powder diffractogram is theoretical, not measured: it uses DFT lattice parameters and positions (PBE+U) and copper Kα.

Structural model:
abc: 7.845 6.436 11.873
angles: 90.00 126.80 90.00
Sites, in units of the cell vectors:
Li: 0.000 0.223 0.000
Li: 0.000 0.777 0.500
Li: 0.056 0.227 0.548
Li: 0.056 0.773 0.048
Li: 0.542 0.233 0.542
Li: 0.542 0.767 0.042
V: 0.028 0.481 0.274
V: 0.028 0.519 0.774
V: 0.524 0.020 0.273
V: 0.524 0.980 0.773
H: 0.137 0.089 0.298
H: 0.137 0.911 0.798
H: 0.410 0.427 0.238
H: 0.410 0.573 0.738
H: 0.654 0.425 0.302
H: 0.654 0.575 0.802
H: 0.874 0.086 0.226
H: 0.874 0.914 0.726
O: 0.004 0.172 0.256
O: 0.004 0.828 0.756
O: 0.530 0.335 0.267
O: 0.530 0.665 0.767
F: 0.053 0.235 0.789
F: 0.053 0.765 0.289
F: 0.120 0.481 0.156
F: 0.120 0.519 0.656
F: 0.227 0.022 0.093
F: 0.227 0.978 0.593
F: 0.296 0.437 0.436
F: 0.296 0.563 0.936
F: 0.400 0.060 0.375
F: 0.400 0.940 0.875
F: 0.507 0.274 0.760
F: 0.507 0.726 0.260
F: 0.657 0.005 0.673
F: 0.657 0.995 0.173
F: 0.752 0.491 0.614
F: 0.752 0.509 0.114
F: 0.821 0.026 0.452
F: 0.821 0.974 0.952
F: 0.929 0.484 0.389
F: 0.929 0.516 0.889

Top 8 peaks for 10 to 90 degrees two-theta, sorted by position:
two_theta, d (Å), Rel. int.
18.67, 4.754, 85
19.75, 4.495, 100
20.57, 4.318, 80
27.72, 3.218, 50
30.70, 2.912, 53
42.98, 2.104, 36
49.00, 1.859, 26
51.92, 1.761, 33



Diffraction record for MnH4NF3. The powder diffractogram is theoretical, not measured: it uses DFT lattice parameters and positions (PBE+U) and copper Kα.

Structural model:
abc: 6.017 8.721 6.039
angles: 90.00 90.00 90.00
Sites, in units of the cell vectors:
Mn: 0.000 0.000 0.000
Mn: 0.000 0.500 0.000
Mn: 0.500 0.000 0.500
Mn: 0.500 0.500 0.500
H: 0.036 0.250 0.335
H: 0.071 0.153 0.577
H: 0.071 0.347 0.577
H: 0.168 0.750 0.479
H: 0.332 0.250 0.979
H: 0.429 0.653 0.077
H: 0.429 0.847 0.077
H: 0.464 0.750 0.835
H: 0.536 0.250 0.165
H: 0.571 0.153 0.923
H: 0.571 0.347 0.923
H: 0.668 0.750 0.021
H: 0.832 0.250 0.521
H: 0.929 0.653 0.423
H: 0.929 0.847 0.423
H: 0.964 0.750 0.665
N: 0.003 0.250 0.503
N: 0.497 0.750 0.003
N: 0.503 0.250 0.997
N: 0.997 0.750 0.497
F: 0.024 0.250 0.025
F: 0.224 0.013 0.724
F: 0.224 0.487 0.724
F: 0.276 0.513 0.224
F: 0.276 0.987 0.224
F: 0.476 0.750 0.525
F: 0.524 0.250 0.475
F: 0.724 0.013 0.776
F: 0.724 0.487 0.776
F: 0.776 0.513 0.276
F: 0.776 0.987 0.276
F: 0.976 0.750 0.975

Top 8 peaks for 10 to 90 degrees two-theta, sorted by position:
two_theta, d (Å), Rel. int.
20.37, 4.360, 54
20.84, 4.262, 100
29.30, 3.048, 74
41.42, 2.180, 40
42.41, 2.131, 69
46.80, 1.941, 26
47.48, 1.915, 25
60.78, 1.524, 37



Diffraction record for MnH8N2F6. The powder diffractogram is theoretical, not measured: it uses DFT lattice parameters and positions (PBE+U) and copper Kα.

Structural model:
abc: 5.948 5.948 9.536
angles: 90.00 90.00 120.00
Sites, in units of the cell vectors:
Mn: 0.333 0.667 0.000
Mn: 0.667 0.333 0.500
H: 0.000 0.000 0.450
H: 0.000 0.000 0.950
H: 0.094 0.189 0.305
H: 0.094 0.906 0.305
H: 0.145 0.573 0.661
H: 0.189 0.094 0.805
H: 0.333 0.667 0.517
H: 0.427 0.573 0.661
H: 0.427 0.855 0.661
H: 0.573 0.145 0.161
H: 0.573 0.427 0.161
H: 0.667 0.333 0.017
H: 0.811 0.906 0.305
H: 0.855 0.427 0.161
H: 0.906 0.094 0.805
H: 0.906 0.811 0.805
N: 0.000 0.000 0.342
N: 0.000 0.000 0.842
N: 0.333 0.667 0.625
N: 0.667 0.333 0.125
F: 0.040 0.520 0.889
F: 0.186 0.371 0.111
F: 0.186 0.814 0.111
F: 0.371 0.186 0.611
F: 0.480 0.520 0.889
F: 0.480 0.960 0.889
F: 0.520 0.040 0.389
F: 0.520 0.480 0.389
F: 0.629 0.814 0.111
F: 0.814 0.186 0.611
F: 0.814 0.629 0.611
F: 0.960 0.480 0.389

Top 8 peaks for 10 to 90 degrees two-theta, sorted by position:
two_theta, d (Å), Rel. int.
17.21, 5.151, 24
18.61, 4.768, 23
19.59, 4.532, 100
25.46, 3.499, 21
30.05, 2.974, 13
39.78, 2.266, 43
45.32, 2.001, 22
62.46, 1.487, 13